The following is a simulated powder X-ray diffraction pattern of Cu5P2O12. It was derived from a crystal structure in Alexandria, relaxed with PBE, using Cu Kα, 1.54184 Å.
No peak broadening, texture or thermal motion is included.

Cell and atoms:
a = 4.584 Å, b = 5.789 Å, c = 8.384 Å
α = 76.03°, β = 90.00°, γ = 84.62°
Atoms (fractional coordinates):
Cu  0.000  0.000  0.000
Cu  0.000  0.000  0.500
Cu  0.000  0.500  0.000
Cu  0.059  0.542  0.330
Cu  0.941  0.458  0.670
P  0.500  0.152  0.228
P  0.500  0.848  0.772
O  0.123  0.284  0.874
O  0.137  0.303  0.525
O  0.288  0.400  0.182
O  0.310  0.948  0.263
O  0.313  0.811  0.628
O  0.313  0.818  0.929
O  0.687  0.182  0.071
O  0.687  0.189  0.372
O  0.690  0.052  0.737
O  0.712  0.600  0.818
O  0.863  0.697  0.475
O  0.877  0.716  0.126

Main lines, low angle first (10 to 80 degrees two-theta):
h k l	d_spacing	two_theta	I/Imax
1 0 0	4.562	19.46	100
1 1 1	3.577	24.89	18
1 1 -1	3.211	27.78	17
1 0 -2	3.072	29.07	20
1 0 2	3.001	29.77	33
0 2 0	2.796	32.01	23
1 2 0	2.493	36.02	46
-1 1 3	2.307	39.04	42